Entry 1:
Structure and theoretical PXRD pattern of LaMg2Cu9 (a cell relaxed with PBE; Cu Kα (weighted mean of Kα1 and Kα2)).
Lines closer than 0.1° are merged.

Main lines, in order of rising 2θ (2θ from 10° to 80°):
Position (°2θ), d (Å), intensity, (hkl)
10.92, 8.103, 31, 0 0 2
26.14, 3.409, 21, 1 0 3
34.38, 2.609, 19, 1 0 5
35.37, 2.538, 20, 1 1 0
41.47, 2.178, 39, 2 0 1
42.01, 2.151, 100, 1 1 4
44.51, 2.036, 17, 2 0 3
44.74, 2.026, 29, 0 0 8
68.05, 1.378, 22, 3 0 4
74.83, 1.269, 20, 2 2 0

Crystal structure
```
LaMg2Cu9
1.0
5.0752 0.0000 0.0000
-2.5376 4.3952 0.0000
0.0000 0.0000 16.2063
La Mg Cu
2 4 18
Cartesian
0.0000 2.9302 4.0516
2.5376 1.4651 12.1547
0.0000 2.9302 0.4971
0.0000 2.9302 7.6060
2.5376 1.4651 8.6003
2.5376 1.4651 15.7092
0.0000 0.0000 0.0000
0.0000 0.0000 4.0516
0.0000 0.0000 8.1032
0.0000 0.0000 12.1547
0.0000 1.4770 10.0782
0.0000 1.4770 14.2313
-1.2585 3.6567 10.0782
-1.2585 3.6567 14.2313
0.0000 2.9302 12.1547
1.2791 0.7385 1.9750
1.2791 0.7385 6.1282
1.2585 3.6567 10.0782
1.2585 3.6567 14.2313
2.5376 1.4651 4.0516
3.7961 0.7385 1.9750
3.7961 0.7385 6.1282
2.5376 2.9182 1.9750
2.5376 2.9182 6.1282
```


Entry 2:
Structure and theoretical PXRD pattern of LaMg4Cu (a cell relaxed with PBE; Cu Kα (weighted mean of Kα1 and Kα2)).
Lines closer than 0.1° are merged.

Main lines, in order of rising 2θ (2θ from 10° to 80°):
Position (°2θ), d (Å), intensity, (hkl)
17.16, 5.167, 49, 1 1 0
19.58, 4.534, 60, 0 0 1
26.15, 3.408, 50, 1 1 1
28.02, 3.185, 44, 2 0 1
29.95, 2.983, 34, 3 0 0
33.04, 2.711, 100, 2 1 1
36.04, 2.492, 93, 3 0 1
36.19, 2.482, 77, 3 1 0
39.76, 2.267, 40, 0 0 2
54.85, 1.674, 46, 3 1 2

Crystal structure
```
LaMg4Cu
1.0
10.3337 0.0000 0.0000
-5.1668 8.9492 0.0000
0.0000 0.0000 4.5337
La Mg Cu
3 12 3
Cartesian
-2.1056 3.6471 0.0000
4.2113 0.0000 0.0000
3.0612 5.3021 0.0000
-0.8587 1.4873 2.2668
-3.8612 6.6879 0.0000
1.7174 0.0000 2.2668
-1.7454 6.3068 2.2668
1.3056 2.2613 0.0000
0.5777 4.2843 2.2668
3.4214 2.6425 2.2668
1.1677 7.3074 2.2668
6.3345 1.6418 2.2668
7.7225 0.0000 0.0000
5.7446 4.6649 2.2668
4.3081 7.4619 2.2668
0.0000 0.0000 0.0000
0.0000 5.9661 0.0000
5.1668 2.9831 0.0000
```


Entry 3:
Structure and theoretical PXRD pattern of LaMgCuO3 (a cell relaxed with PBE; Cu Kα (weighted mean of Kα1 and Kα2)).
Lines closer than 0.1° are merged.

Main lines, in order of rising 2θ (2θ from 10° to 80°):
Position (°2θ), d (Å), intensity, (hkl)
23.23, 3.829, 16, 1 0 0
27.06, 3.295, 100, 1 0 1
27.57, 3.235, 74, 0 0 2
33.09, 2.707, 52, 1 1 0
35.96, 2.498, 15, 1 1 1
43.59, 2.076, 48, 1 1 2
47.49, 1.914, 31, 2 0 0
48.44, 1.879, 21, 1 0 3
55.51, 1.655, 28, 2 1 1
55.80, 1.648, 37, 2 0 2

Crystal structure
```
LaMgCuO3
1.0
3.8289 0.0000 0.0000
0.0000 3.8289 0.0000
0.0000 0.0000 6.4700
La Mg Cu O
1 1 1 3
Cartesian
0.0000 0.0000 0.0000
0.0000 0.0000 3.2350
1.9144 1.9144 3.2350
0.0000 1.9144 3.2350
1.9144 0.0000 3.2350
1.9144 1.9144 0.0000
```


Entry 4:
Structure and theoretical PXRD pattern of LaMgCuO3 (a cell relaxed with PBE; Cu Kα (weighted mean of Kα1 and Kα2)).
Lines closer than 0.1° are merged.

Main lines, in order of rising 2θ (2θ from 10° to 80°):
Position (°2θ), d (Å), intensity, (hkl)
15.92, 5.566, 100, 0 0 1
24.60, 3.619, 22, 1 1 -1
29.05, 3.074, 31, 0 2 0
29.58, 3.020, 27, 2 0 0
33.30, 2.691, 27, 0 2 1
36.09, 2.489, 15, 2 0 1
41.93, 2.154, 25, 2 2 0
43.21, 2.094, 19, 2 2 -1
43.88, 2.063, 18, 0 2 2
50.43, 1.810, 13, 2 2 -2

Crystal structure
```
LaMgCuO3
1.0
6.1243 0.0000 0.0000
0.0000 6.1482 0.0000
-0.9286 0.0000 5.5659
La Mg Cu O
2 2 2 6
Cartesian
0.0000 0.0000 0.0000
3.0622 3.0741 0.0000
2.3553 0.0000 3.4303
5.4175 3.0741 3.4303
0.1278 3.0741 0.4034
3.1900 0.0000 0.4034
0.1953 1.7341 4.5867
0.1953 4.4141 4.5867
1.8053 0.0000 1.6149
3.2575 1.3400 4.5867
3.2575 4.8082 4.5867
4.8675 3.0741 1.6149
```